1.
Starting from a DFT-relaxed cell (PBE, the Materials Project), the PXRD pattern of NaSr3Be3B3O9F4 was simulated for Cu Ka.

Most intense lines, 10° ≤ 2θ ≤ 90°, low angle first:
6.246 Å, 14.2 deg, I 28
4.049 Å, 22.0 deg, I 51
3.221 Å, 27.7 deg, I 61
3.123 Å, 28.6 deg, I 100
3.070 Å, 29.1 deg, I 33
2.693 Å, 33.3 deg, I 83
2.082 Å, 43.5 deg, I 59
2.050 Å, 44.2 deg, I 39

Structural model:
```
23
Lattice="5.317 3.070 2.833 -5.317 3.070 2.833 0.000 -6.139 2.833" Properties=species:S:1:pos:R:3 pbc="T T T"
Na 0.000 0.000 0.000
Sr 0.000 -2.417 2.811
Sr -2.093 1.209 2.811
Sr 2.093 1.209 2.811
Be -1.463 -0.844 5.905
Be 1.463 -0.844 5.905
Be 0.000 1.689 5.905
B -2.854 -1.648 4.013
B 2.854 -1.648 4.013
B 0.000 3.295 4.013
O -2.797 -3.018 3.863
O -4.012 -0.913 3.863
O -1.677 -0.968 4.333
O 2.797 -3.018 3.863
O -1.215 3.931 3.863
O 1.677 -0.968 4.333
O 0.000 1.936 4.333
O 4.012 -0.913 3.863
O 1.215 3.931 3.863
F 0.000 -4.405 4.266
F -3.815 2.202 4.266
F 0.000 0.000 6.083
F 3.815 2.202 4.266
```



2.
Starting from a DFT-relaxed cell (PBE, the Materials Project), the PXRD pattern of NbO2 was simulated for Cu Ka.

Most intense lines, 10° ≤ 2θ ≤ 90°, low angle first:
3.449 Å, 25.8 deg, I 49
2.958 Å, 30.2 deg, I 100
2.587 Å, 34.7 deg, I 22
2.463 Å, 36.5 deg, I 27
1.808 Å, 50.5 deg, I 26
1.774 Å, 51.5 deg, I 16
1.660 Å, 55.3 deg, I 16
1.597 Å, 57.7 deg, I 31

Structural model:
```
24
Lattice="5.056 0.000 0.000 0.000 5.357 0.000 0.000 0.000 9.955" Properties=species:S:1:pos:R:3 pbc="T T T"
Nb 0.273 0.782 1.421
Nb 0.273 1.897 6.398
Nb 2.255 3.461 1.421
Nb 2.255 4.576 6.398
Nb 2.801 0.782 3.556
Nb 2.801 1.897 8.534
Nb 4.783 3.461 3.556
Nb 4.783 4.576 8.534
O 0.891 3.517 5.289
O 0.891 4.519 0.311
O 1.227 3.219 7.822
O 1.227 4.817 2.845
O 1.301 0.541 7.822
O 1.301 2.138 2.845
O 1.637 0.838 5.289
O 1.637 1.840 0.311
O 3.419 3.517 9.643
O 3.419 4.519 4.666
O 3.755 3.219 7.110
O 3.755 4.817 2.132
O 3.829 0.541 7.110
O 3.829 2.138 2.132
O 4.165 0.838 9.643
O 4.165 1.840 4.666
```



3.
Starting from a DFT-relaxed cell (PBE, the Materials Project), the PXRD pattern of Ir3Se8 was simulated for Cu Ka.

Most intense lines, 10° ≤ 2θ ≤ 90°, low angle first:
6.061 Å, 14.6 deg, I 49
3.509 Å, 25.4 deg, I 38
3.030 Å, 29.5 deg, I 100
2.720 Å, 32.9 deg, I 83
2.478 Å, 36.3 deg, I 45
2.457 Å, 36.6 deg, I 39
1.835 Å, 49.7 deg, I 40
1.829 Å, 49.9 deg, I 80

Structural model:
```
11
Lattice="4.304 2.485 3.470 -4.304 2.485 3.470 0.000 -4.970 3.470" Properties=species:S:1:pos:R:3 pbc="T T T"
Ir -2.152 -1.243 3.470
Ir -2.152 1.243 6.939
Ir 0.000 2.485 3.470
Se -3.283 0.572 4.777
Se -2.137 -2.557 5.631
Se 0.000 0.000 3.901
Se 1.146 -3.129 4.777
Se -1.146 3.129 5.631
Se 0.000 0.000 6.508
Se 2.137 2.557 4.777
Se 3.283 -0.572 5.631
```



4.
Starting from a DFT-relaxed cell (PBE, the Materials Project), the PXRD pattern of ZnAgPO4 was simulated for Cu Ka.

Most intense lines, 10° ≤ 2θ ≤ 90°, low angle first:
4.461 Å, 19.9 deg, I 24
3.946 Å, 22.5 deg, I 24
3.068 Å, 29.1 deg, I 67
3.057 Å, 29.2 deg, I 66
3.043 Å, 29.3 deg, I 64
2.576 Å, 34.8 deg, I 100
1.970 Å, 46.1 deg, I 15
1.963 Å, 46.3 deg, I 15

Structural model:
```
56
Lattice="8.391 0.000 0.000 0.046 10.293 0.000 0.097 5.128 8.931" Properties=species:S:1:pos:R:3 pbc="T T T"
Zn 0.000 0.000 0.000
Zn 0.070 7.480 4.244
Zn 0.140 10.345 8.649
Zn 3.879 7.664 7.258
Zn 4.243 5.044 2.634
Zn 4.262 10.117 2.926
Zn 4.338 12.974 7.322
Zn 8.028 2.526 4.304
Ag 1.475 4.890 5.699
Ag 1.535 10.409 5.636
Ag 1.482 2.573 1.583
Ag 1.536 7.675 1.319
Ag 5.643 2.489 1.073
Ag 5.719 10.055 5.930
Ag 5.714 5.308 5.860
Ag 5.732 7.676 1.322
P 3.146 2.538 4.293
P 3.262 7.421 4.198
P 3.256 10.299 0.066
P 3.329 10.424 8.606
P 7.388 7.656 7.251
P 7.422 5.053 2.553
P 7.479 10.057 2.975
P 7.532 13.032 7.369
O 0.191 9.423 3.886
O 0.165 4.566 1.588
O 0.269 14.115 7.446
O 1.604 2.703 4.324
O 1.894 6.668 4.147
O 1.879 10.687 0.697
O 1.961 10.823 7.972
O 3.409 13.881 8.821
O 3.315 5.902 1.107
O 3.376 8.282 5.484
O 3.360 8.356 2.955
O 3.466 8.879 8.717
O 3.483 5.796 7.603
O 3.537 11.312 4.292
O 3.682 3.207 2.994
O 3.733 3.239 5.546
O 4.372 10.766 1.058
O 4.386 6.333 4.132
O 4.453 11.032 7.701
O 5.848 7.771 7.129
O 6.061 4.719 1.865
O 6.094 9.713 3.613
O 6.166 13.787 7.390
O 7.517 6.596 2.746
O 7.525 4.371 3.945
O 7.608 12.097 8.611
O 7.543 9.436 1.549
O 7.669 12.163 6.087
O 7.669 11.594 2.856
O 7.737 6.893 8.564
O 7.921 6.866 6.020
O 7.979 9.090 7.269
```



Which formula does entry 4 have? ZnAgPO4